Structure and theoretical powder diffraction line list of NaPmTl2Br6 (DFT lattice parameters and positions (GGA-PBE); Cu Kα).
Kinematic intensities with the Lorentz-polarization factor, no thermal factor.

Most intense lines, 10° ≤ 2θ ≤ 90°, by intensity:
(2 2 -2), d = 2.816 Å, 2θ 31.8, rel. 100; (1 1 -3), d = 3.936 Å, 2θ 22.6, rel. 92; (0 0 4), d = 2.791 Å, 2θ 32.1, rel. 88; (1 1 1), d = 3.994 Å, 2θ 22.3, rel. 88; (2 1 -1), d = 3.356 Å, 2θ 26.6, rel. 83; (0 2 2), d = 3.309 Å, 2θ 26.9, rel. 70; (3 1 -1), d = 2.267 Å, 2θ 39.8, rel. 66; (3 1 -5), d = 2.235 Å, 2θ 40.4, rel. 64

Structure:
Cell lengths 7.7349, 8.2184, 13.4543 Å; angles 90.00, 123.92, 90.00 degrees
Space group P2_1/c (No. 14)
Symmetry-distinct sites (fractional):
Na: 0.0000 0.0000 0.0000 [2 per cell]
Pm: 0.5000 0.0000 0.5000 [2 per cell]
Tl: 0.2151 0.0791 0.7433 [4 per cell]
Br: 0.1457 0.1905 0.4485 [4 per cell]
Br: 0.2565 0.7063 0.4420 [4 per cell]
Br: 0.3673 0.0319 0.2536 [4 per cell]